# 1
Structure and simulated powder XRD pattern of Li10Mg3Tl3 (a DFT-relaxed cell (GGA-PBE, Alexandria); a wavelength of 1.5418 Å).
Peak positions follow from Bragg's law for the DFT cell and can differ from measured ones.

Cell and atoms:
Unit cell a=8.3404 b=8.3404 c=5.4855 alpha=90.00 beta=90.00 gamma=120.00
Space group P-62m (No. 189)
Unique sites:
Li (0.0000, 0.2373, 0.0000) x3
Li (0.0000, 0.7698, 0.5000) x3
Li (0.3333, 0.6667, 0.2399) x4
Mg (0.0000, 0.4135, 0.5000) x3
Tl (0.0000, 0.6054, 0.0000) x3

Top 8 peaks for 10° ≤ 2θ ≤ 90°, most intense first:
26.86 deg, intensity 1000; 21.31 deg, intensity 735; 16.16 deg, intensity 533; 48.37 deg, intensity 381; 39.32 deg, intensity 346; 36.77 deg, intensity 312; 24.65 deg, intensity 240; 12.25 deg, intensity 193

***

# 2
Structure and simulated powder XRD pattern of Li3MgTl4 (a DFT-relaxed cell (GGA-PBE, Alexandria); a wavelength of 1.5418 Å).
Peak positions follow from Bragg's law for the DFT cell and can differ from measured ones.

Cell and atoms:
Unit cell a=5.0258 b=5.0258 c=24.3372 alpha=90.00 beta=90.00 gamma=120.00
Space group R-3m (No. 166, hexagonal axes)
Unique sites:
Li (0.0000, 0.0000, 0.0000) x3
Li (0.0000, 0.0000, 0.2473) x6
Mg (0.0000, 0.0000, 0.5000) x3
Tl (0.0000, 0.0000, 0.1203) x6
Tl (0.0000, 0.0000, 0.3706) x6

Top 8 peaks for 10° ≤ 2θ ≤ 90°, most intense first:
25.16 deg, intensity 1000; 35.73 deg, intensity 510; 36.02 deg, intensity 475; 44.20 deg, intensity 229; 58.08 deg, intensity 207; 58.48 deg, intensity 181; 64.38 deg, intensity 179; 51.64 deg, intensity 173

***

# 3
Structure and simulated powder XRD pattern of Li3MgTl6 (a DFT-relaxed cell (GGA-PBE, Alexandria); a wavelength of 1.5418 Å).
Peak positions follow from Bragg's law for the DFT cell and can differ from measured ones.

Cell and atoms:
Unit cell a=10.0343 b=6.8669 c=7.7744 alpha=90.00 beta=109.54 gamma=90.00
Space group C2/m (No. 12)
Unique sites:
Li (0.0000, 0.0000, 0.0000) x2
Li (0.1196, 0.0000, 0.6750) x4
Mg (0.0000, 0.5000, 0.5000) x2
Tl (0.1370, 0.2368, 0.3015) x8
Tl (0.1657, 0.5000, 0.9371) x4

Top 8 peaks for 10° ≤ 2θ ≤ 90°, most intense first:
32.13 deg, intensity 1000; 35.85 deg, intensity 522; 25.61 deg, intensity 417; 36.79 deg, intensity 407; 25.29 deg, intensity 383; 28.71 deg, intensity 373; 18.62 deg, intensity 291; 35.27 deg, intensity 286

***

# 4
Structure and simulated powder XRD pattern of LiMg2Tl2 (a DFT-relaxed cell (GGA-PBE, Alexandria); a wavelength of 1.5418 Å).
Peak positions follow from Bragg's law for the DFT cell and can differ from measured ones.

Cell and atoms:
Unit cell a=9.9768 b=6.8863 c=7.2465 alpha=90.00 beta=90.00 gamma=90.00
Space group Pbcm (No. 57)
Unique sites:
Li (0.1757, 0.2500, 0.0000) x4
Mg (0.1848, 0.7500, 0.0000) x4
Mg (0.4990, 0.2500, 0.0000) x4
Tl (0.0045, 0.0024, 0.2500) x4
Tl (0.3355, 0.0089, 0.7500) x4

Top 8 peaks for 10° ≤ 2θ ≤ 90°, most intense first:
19.89 deg, intensity 1000; 35.98 deg, intensity 889; 36.68 deg, intensity 815; 37.60 deg, intensity 758; 25.24 deg, intensity 720; 24.57 deg, intensity 641; 25.88 deg, intensity 561; 45.44 deg, intensity 530

***

# 5
Structure and simulated powder XRD pattern of LiMg2Tl7 (a DFT-relaxed cell (GGA-PBE, Alexandria); a wavelength of 1.5418 Å).
Peak positions follow from Bragg's law for the DFT cell and can differ from measured ones.

Cell and atoms:
Unit cell a=5.0119 b=5.0119 c=13.0779 alpha=90.00 beta=90.00 gamma=120.00
Space group P3m1 (No. 156)
Unique sites:
Li (0.0000, 0.0000, 0.0000) x1
Mg (0.3333, 0.6667, 0.6793) x1
Mg (0.6667, 0.3333, 0.3491) x1
Tl (0.0000, 0.0000, 0.2496) x1
Tl (0.0000, 0.0000, 0.7442) x1
Tl (0.3333, 0.6667, 0.4315) x1
Tl (0.3333, 0.6667, 0.9876) x1
Tl (0.6667, 0.3333, 0.1186) x1
Tl (0.6667, 0.3333, 0.5807) x1
Tl (0.6667, 0.3333, 0.8591) x1

Top 8 peaks for 10° ≤ 2θ ≤ 90°, most intense first:
24.62 deg, intensity 1000; 35.83 deg, intensity 888; 34.34 deg, intensity 850; 29.03 deg, intensity 316; 50.47 deg, intensity 301; 63.44 deg, intensity 293; 43.96 deg, intensity 220; 57.96 deg, intensity 198

***

# 6
Structure and simulated powder XRD pattern of Li4Mg4Tl3 (a DFT-relaxed cell (GGA-PBE, Alexandria); a wavelength of 1.5418 Å).
Peak positions follow from Bragg's law for the DFT cell and can differ from measured ones.

Cell and atoms:
Unit cell a=3.2091 b=4.7307 c=15.8704 alpha=81.72 beta=88.55 gamma=89.60
Space group P-1 (No. 2)
Unique sites:
Li (0.1565, 0.1819, 0.1366) x2
Li (0.1626, 0.5437, 0.4142) x2
Mg (0.2401, 0.9075, 0.6838) x2
Mg (0.2755, 0.2744, 0.9505) x2
Tl (0.3325, 0.6352, 0.2308) x2
Tl (0.5000, 0.0000, 0.5000) x1

Top 8 peaks for 10° ≤ 2θ ≤ 90°, most intense first:
20.60 deg, intensity 1000; 22.65 deg, intensity 437; 36.87 deg, intensity 371; 34.60 deg, intensity 230; 34.77 deg, intensity 226; 36.69 deg, intensity 221; 32.37 deg, intensity 213; 11.27 deg, intensity 213